1.
The following is a calculated X-ray diffraction stick pattern of LiSiAg2. It was derived from a DFT-relaxed cell (GGA-PBE, the Materials Project), using CuKα.
Kinematic intensities with the Lorentz-polarization factor, no thermal factor.

Principal peaks in the range 2θ from 5° to 70°, most intense first:
40.00 deg, I = 100, (1 1 1); 28.74 deg, I = 68, (1 1 0); 41.09 deg, I = 46, (2 0 0); 27.22 deg, I = 39, (0 0 1); 49.99 deg, I = 28, (2 0 1); 59.52 deg, I = 15, (2 2 0); 64.30 deg, I = 12, (1 1 2); 66.64 deg, I = 11, (2 2 1)

Structure:
```
data_LiSiAg2
_chemical_formula_sum 'Li1 Si1 Ag2'
_cell_length_a 4.3931
_cell_length_b 4.3931
_cell_length_c 3.2757
_cell_angle_alpha 90.00
_cell_angle_beta 90.00
_cell_angle_gamma 90.00
_space_group_name_H-M_alt 'P 4/m m m'
_space_group_IT_number 123
_space_group_name_Hall '-P 4 2'
loop_
_atom_site_label
_atom_site_fract_x
_atom_site_fract_y
_atom_site_fract_z
_atom_site_occupancy
Li1 0.0000 0.0000 0.0000 1
Si1 0.5000 0.5000 0.0000 1
Ag1 0.0000 0.5000 0.5000 1
```

=====

2.
The following is a calculated X-ray diffraction stick pattern of MgFeCuS2. It was derived from a DFT-relaxed cell (GGA-PBE, the Materials Project), using CuKα.
Kinematic intensities with the Lorentz-polarization factor, no thermal factor.

Principal peaks in the range 2θ from 5° to 70°, most intense first:
41.07 deg, I = 100, (1 1 2); 30.47 deg, I = 98, (1 1 0); 11.55 deg, I = 72, (0 0 1); 53.67 deg, I = 70, (0 2 0); 43.93 deg, I = 56, (2 0 2); 36.11 deg, I = 22, (1 1 -2); 50.27 deg, I = 21, (2 0 -4); 69.73 deg, I = 18, (4 0 1)

Structure:
```
data_MgFeCuS2
_chemical_formula_sum 'Mg2 Fe2 Cu2 S4'
_cell_length_a 5.9161
_cell_length_b 3.4161
_cell_length_c 7.9139
_cell_angle_alpha 90.00
_cell_angle_beta 104.53
_cell_angle_gamma 90.00
_space_group_name_H-M_alt 'C 1 m 1'
_space_group_IT_number 8
_space_group_name_Hall 'C -2y'
loop_
_atom_site_label
_atom_site_fract_x
_atom_site_fract_y
_atom_site_fract_z
_atom_site_occupancy
Mg1 0.0000 0.0000 0.0000 1
Fe1 0.1324 0.0000 0.3981 1
Cu1 0.2492 0.0000 0.7466 1
S1 0.3495 0.5000 0.5485 1
S2 0.4119 0.0000 0.2381 1
```

=====

3.
The following is a calculated X-ray diffraction stick pattern of Dy3GaC. It was derived from a DFT-relaxed cell (GGA-PBE, the Materials Project), using CuKα.
Kinematic intensities with the Lorentz-polarization factor, no thermal factor.

Principal peaks in the range 2θ from 5° to 70°, most intense first:
29.18 deg, I = 100, (1 1 1); 33.82 deg, I = 93, (2 0 0); 16.73 deg, I = 80, (1 0 0); 48.58 deg, I = 67, (2 2 0); 57.68 deg, I = 44, (3 1 1); 37.96 deg, I = 43, (2 1 0); 60.50 deg, I = 23, (2 2 2); 51.74 deg, I = 22, (3 0 0)

Structure:
```
data_Dy3GaC
_chemical_formula_sum 'Dy3 Ga1 C1'
_cell_length_a 5.3008
_cell_length_b 5.3008
_cell_length_c 5.3008
_cell_angle_alpha 90.00
_cell_angle_beta 90.00
_cell_angle_gamma 90.00
_space_group_name_H-M_alt 'P m -3 m'
_space_group_IT_number 221
_space_group_name_Hall '-P 4 2 3'
loop_
_atom_site_label
_atom_site_fract_x
_atom_site_fract_y
_atom_site_fract_z
_atom_site_occupancy
Dy1 0.0000 0.0000 0.5000 1
Ga1 0.0000 0.0000 0.0000 1
C1 0.5000 0.5000 0.5000 1
```